Diffraction record for NbTl6F12. The X-ray diffraction stick pattern is calculated, not measured: it uses the GGA-PBE geometry in Alexandria and Cu Kα (weighted mean of Kα1 and Kα2).
Neutral-atom scattering factors, no anomalous dispersion.

Atomic structure:
abc: 7.7530 7.7530 7.7530
angles: 99.24 99.24 99.24
Positions (direct):
Nb1 0.0000 0.0000 0.0000
Tl1 0.1568 0.6047 0.3386
Tl2 0.3386 0.1568 0.6047
Tl3 0.3953 0.6614 0.8432
Tl4 0.6047 0.3386 0.1568
Tl5 0.6614 0.8432 0.3953
Tl6 0.8432 0.3953 0.6614
F1 0.0194 0.7537 0.9238
F2 0.0762 0.9806 0.2463
F3 0.1891 0.4297 0.5838
F4 0.2463 0.0762 0.9806
F5 0.4162 0.8109 0.5703
F6 0.4297 0.5838 0.1891
F7 0.5703 0.4162 0.8109
F8 0.5838 0.1891 0.4297
F9 0.7537 0.9238 0.0194
F10 0.8109 0.5703 0.4162
F11 0.9238 0.0194 0.7537
F12 0.9806 0.2463 0.0762

Most intense lines, 2θ = 15–90°, sorted by position:
2θ = 24.1°, rel. 25
2θ = 24.4°, rel. 100
2θ = 28.2°, rel. 52
2θ = 28.5°, rel. 12
2θ = 40.1°, rel. 20
2θ = 40.4°, rel. 28
2θ = 41.8°, rel. 11
2θ = 47.3°, rel. 10
2θ = 47.6°, rel. 23
2θ = 47.8°, rel. 12
2θ = 50.0°, rel. 10
2θ = 64.3°, rel. 10